# SbP4O12
Computed PXRD pattern, Cu Kα (weighted mean of Kα1 and Kα2). Input: a GGA-PBE-relaxed structure.
Lines closer than 0.1° are merged.

Largest 10 diffraction maxima, by angle, 2θ from 10° to 90°:
2theta, Rel. int.
12.52, 49
13.76, 97
14.09, 100
17.65, 82
18.91, 72
19.34, 78
22.69, 68
24.08, 45
28.03, 90
29.35, 87

Structure:
```
data_SbP4O12
_symmetry_space_group_name_H-M 'P 1'
_symmetry_Int_Tables_number 1
_symmetry_space_group_name_Hall 'P 1'
_cell_length_a 7.4356
_cell_length_b 7.9369
_cell_length_c 10.0322
_cell_angle_alpha 95.18
_cell_angle_beta 109.07
_cell_angle_gamma 113.03
loop_
_atom_site_label
_atom_site_fract_x
_atom_site_fract_y
_atom_site_fract_z
_atom_site_occupancy
Sb1 0.0000 0.0000 0.0000 1
Sb2 0.0000 0.5000 0.5000 1
P1 0.0095 0.3509 0.8154 1
P2 0.2687 0.7307 0.0228 1
P3 0.2787 0.2677 0.5336 1
P4 0.4875 0.3198 0.3181 1
P5 0.5125 0.6802 0.6819 1
P6 0.7213 0.7323 0.4664 1
P7 0.7313 0.2693 0.9772 1
P8 0.9905 0.6491 0.1846 1
O1 0.0329 0.1734 0.8309 1
O2 0.0442 0.6303 0.3440 1
O3 0.1065 0.7903 0.9310 1
O4 0.1136 0.3311 0.4376 1
O5 0.1782 0.6424 0.1465 1
O6 0.2179 0.1146 0.6035 1
O7 0.2215 0.5308 0.9198 1
O8 0.2949 0.6864 0.6380 1
O9 0.3405 0.2190 0.1650 1
O10 0.3892 0.2287 0.4282 1
O11 0.4718 0.4657 0.6495 1
O12 0.4972 0.8512 0.0940 1
O13 0.5028 0.1488 0.9060 1
O14 0.5282 0.5343 0.3505 1
O15 0.6108 0.7713 0.5718 1
O16 0.6595 0.7810 0.8350 1
O17 0.7051 0.3136 0.3620 1
O18 0.7785 0.4692 0.0802 1
O19 0.7821 0.8854 0.3965 1
O20 0.8218 0.3576 0.8535 1
O21 0.8864 0.6689 0.5624 1
O22 0.8935 0.2097 0.0690 1
O23 0.9558 0.3697 0.6560 1
O24 0.9671 0.8266 0.1691 1
```

# Sr2LaGaO5
Computed PXRD pattern, Cu Kα (weighted mean of Kα1 and Kα2). Input: a GGA-PBE-relaxed structure.
Lines closer than 0.1° are merged.

Largest 10 diffraction maxima, by angle, 2θ from 10° to 90°:
2theta, Rel. int.
30.00, 25
30.16, 16
30.31, 100
31.23, 34
37.10, 16
37.48, 33
37.61, 26
49.26, 13
55.01, 20
55.80, 15

Structure:
```
data_Sr2LaGaO5
_symmetry_space_group_name_H-M 'P 1'
_symmetry_Int_Tables_number 1
_symmetry_space_group_name_Hall 'P 1'
_cell_length_a 7.5253
_cell_length_b 7.5029
_cell_length_c 6.8788
_cell_angle_alpha 62.92
_cell_angle_beta 62.59
_cell_angle_gamma 54.48
loop_
_atom_site_label
_atom_site_fract_x
_atom_site_fract_y
_atom_site_fract_z
_atom_site_occupancy
Sr1 0.1758 0.8242 0.8242 1
Sr2 0.2500 0.2500 0.2500 1
Sr3 0.7500 0.7500 0.7500 1
Sr4 0.8242 0.1758 0.1758 1
La1 0.3192 0.6808 0.3192 1
La2 0.6808 0.3192 0.6808 1
Ga1 0.2483 0.2483 0.7517 1
Ga2 0.7517 0.7517 0.2483 1
O1 0.0000 0.0000 0.5000 1
O2 0.0029 0.7068 0.2932 1
O3 0.2139 0.4984 0.7861 1
O4 0.2932 0.9971 0.0029 1
O5 0.4984 0.2139 0.5016 1
O6 0.5000 0.5000 0.0000 1
O7 0.5016 0.7861 0.4984 1
O8 0.7068 0.0029 0.9971 1
O9 0.7861 0.5016 0.2139 1
O10 0.9971 0.2932 0.7068 1
```

# NiTe
Computed PXRD pattern, Cu Kα (weighted mean of Kα1 and Kα2). Input: a GGA-PBE-relaxed structure.
Lines closer than 0.1° are merged.

Largest 10 diffraction maxima, by angle, 2θ from 10° to 90°:
2theta, Rel. int.
30.78, 100
43.05, 55
45.11, 53
55.61, 19
58.88, 16
64.12, 16
74.30, 15
81.83, 16
83.27, 8
88.79, 15

Structure:
```
data_NiTe
_symmetry_space_group_name_H-M 'P 1'
_symmetry_Int_Tables_number 1
_symmetry_space_group_name_Hall 'P 1'
_cell_length_a 4.0195
_cell_length_b 4.0195
_cell_length_c 5.2709
_cell_angle_alpha 90.00
_cell_angle_beta 90.00
_cell_angle_gamma 120.00
loop_
_atom_site_label
_atom_site_fract_x
_atom_site_fract_y
_atom_site_fract_z
_atom_site_occupancy
Ni1 0.0000 0.0000 0.0000 1
Ni2 0.0000 0.0000 0.5000 1
Te1 0.3333 0.6667 0.2500 1
Te2 0.6667 0.3333 0.7500 1
```